(1)
# LiMn3O6
Theoretical powder XRD pattern, Cu Kα (weighted mean of Kα1 and Kα2). Input: the GGA+U geometry in Alexandria.

Principal peaks in the range 2θ from 10° to 90°, in order of falling intensity:
4.837 Å, 2θ 18.3, I = 100; 2.119 Å, 2θ 42.7, I = 18; 2.108 Å, 2θ 42.9, I = 18; 2.058 Å, 2θ 44.0, I = 16; 2.547 Å, 2θ 35.2, I = 14; 2.538 Å, 2θ 35.4, I = 14; 2.494 Å, 2θ 36.0, I = 13; 1.476 Å, 2θ 63.0, I = 9; 1.473 Å, 2θ 63.1, I = 9; 1.629 Å, 2θ 56.5, I = 6

Structural model:
Unit cell a=8.4774 b=8.2320 c=13.3207 alpha=90.00 beta=108.31 gamma=90.00
Space group Cc (No. 9)
Inequivalent atoms, fractional coordinates:
Li 0.0000 0.1156 0.0000 [4 per cell]
Li 0.3447 0.1283 0.6713 [4 per cell]
Mn 0.0015 0.0029 0.7538 [4 per cell]
Mn 0.0979 0.2569 0.4216 [4 per cell]
Mn 0.1723 0.4919 0.0820 [4 per cell]
Mn 0.2498 0.2509 0.2489 [4 per cell]
Mn 0.3443 0.0049 0.4195 [4 per cell]
Mn 0.4204 0.2453 0.0832 [4 per cell]
O 0.0269 0.2373 0.2665 [4 per cell]
O 0.0775 0.4939 0.4276 [4 per cell]
O 0.1188 0.0227 0.4248 [4 per cell]
O 0.1685 0.2574 0.0978 [4 per cell]
O 0.1751 0.2749 0.5727 [4 per cell]
O 0.2472 0.0124 0.2646 [4 per cell]
O 0.2588 0.4839 0.2351 [4 per cell]
O 0.3218 0.2441 0.4052 [4 per cell]
O 0.3724 0.2279 0.9278 [4 per cell]
O 0.3956 0.4769 0.0797 [4 per cell]
O 0.4367 0.0059 0.0744 [4 per cell]
O 0.4713 0.2624 0.2387 [4 per cell]

(2)
# Li4MnO3
Theoretical powder XRD pattern, Cu Kα (weighted mean of Kα1 and Kα2). Input: the GGA+U geometry in Alexandria.

Principal peaks in the range 2θ from 10° to 90°, in order of falling intensity:
3.835 Å, 2θ 23.2, I = 100; 3.365 Å, 2θ 26.5, I = 69; 5.030 Å, 2θ 17.6, I = 57; 2.786 Å, 2θ 32.1, I = 46; 2.809 Å, 2θ 31.9, I = 45; 1.691 Å, 2θ 54.3, I = 39; 2.308 Å, 2θ 39.0, I = 36; 3.271 Å, 2θ 27.3, I = 34; 2.055 Å, 2θ 44.1, I = 32; 2.736 Å, 2θ 32.7, I = 25

Structural model:
Unit cell a=4.7340 b=5.8338 c=6.8938 alpha=72.30 beta=89.97 gamma=66.09
Space group P-1 (No. 2)
Inequivalent atoms, fractional coordinates:
Li 0.0413 0.3567 0.3766 [2 per cell]
Li 0.1523 0.2961 0.0006 [2 per cell]
Li 0.3978 0.6438 0.1232 [2 per cell]
Li 0.4479 0.7035 0.5005 [2 per cell]
Mn 0.2325 0.0004 0.7499 [2 per cell]
O 0.1651 0.6415 0.3557 [2 per cell]
O 0.1937 0.6415 0.8556 [2 per cell]
O 0.5000 0.0000 0.0000 [1 per cell]
O 0.5000 0.0000 0.5000 [1 per cell]

(3)
# Li12Mn2O9
Theoretical powder XRD pattern, Cu Kα (weighted mean of Kα1 and Kα2). Input: the GGA+U geometry in Alexandria.

Principal peaks in the range 2θ from 10° to 90°, in order of falling intensity:
4.351 Å, 2θ 20.4, I = 100; 4.287 Å, 2θ 20.7, I = 93; 4.095 Å, 2θ 21.7, I = 83; 4.209 Å, 2θ 21.1, I = 75; 2.716 Å, 2θ 33.0, I = 70; 4.073 Å, 2θ 21.8, I = 38; 1.629 Å, 2θ 56.5, I = 36; 1.694 Å, 2θ 54.1, I = 31; 2.381 Å, 2θ 37.8, I = 30; 1.700 Å, 2θ 53.9, I = 25

Structural model:
Unit cell a=5.6725 b=5.7598 c=8.1567 alpha=87.69 beta=87.17 gamma=62.30
Space group P1 (No. 1)
Inequivalent atoms, fractional coordinates:
Li 0.0000 0.0000 0.0000 [1 per cell]
Li 0.0080 0.6596 0.8280 [1 per cell]
Li 0.0440 0.3686 0.1360 [1 per cell]
Li 0.2714 0.0944 0.8183 [1 per cell]
Li 0.3200 0.9726 0.3118 [1 per cell]
Li 0.3410 0.7147 0.6584 [1 per cell]
Li 0.5966 0.1120 0.1425 [1 per cell]
Li 0.6593 0.4074 0.3230 [1 per cell]
Li 0.6740 0.9810 0.6600 [1 per cell]
Li 0.6924 0.3349 0.8070 [1 per cell]
Li 0.9258 0.7470 0.3214 [1 per cell]
Li 0.9749 0.0606 0.5109 [1 per cell]
Mn 0.2769 0.3665 0.4984 [1 per cell]
Mn 0.5930 0.7058 0.0140 [1 per cell]
O 0.0229 0.3337 0.3738 [1 per cell]
O 0.2595 0.7020 0.4233 [1 per cell]
O 0.3181 0.0408 0.0629 [1 per cell]
O 0.3602 0.3586 0.7188 [1 per cell]
O 0.6147 0.0777 0.4089 [1 per cell]
O 0.6230 0.7126 0.7766 [1 per cell]
O 0.7208 0.3488 0.0656 [1 per cell]
O 0.8931 0.7451 0.0882 [1 per cell]
O 0.9963 0.9977 0.7476 [1 per cell]

(4)
# Li5MnO5
Theoretical powder XRD pattern, Cu Kα (weighted mean of Kα1 and Kα2). Input: the GGA+U geometry in Alexandria.

Principal peaks in the range 2θ from 10° to 90°, in order of falling intensity:
5.443 Å, 2θ 16.3, I = 100; 3.592 Å, 2θ 24.8, I = 83; 4.197 Å, 2θ 21.2, I = 47; 2.098 Å, 2θ 43.1, I = 33; 2.062 Å, 2θ 43.9, I = 31; 1.956 Å, 2θ 46.4, I = 29; 4.528 Å, 2θ 19.6, I = 22; 3.039 Å, 2θ 29.4, I = 21; 1.431 Å, 2θ 65.2, I = 15; 1.419 Å, 2θ 65.8, I = 15

Structural model:
Unit cell a=9.5492 b=3.9127 c=5.7401 alpha=90.00 beta=108.50 gamma=90.00
Space group C2/m (No. 12)
Inequivalent atoms, fractional coordinates:
Li 0.0000 0.0000 0.0000 [2 per cell]
Li 0.1849 0.5000 0.3647 [4 per cell]
Li 0.2046 0.5000 0.8344 [4 per cell]
Mn 0.0000 0.0000 0.5000 [2 per cell]
O 0.0000 0.5000 0.5000 [2 per cell]
O 0.1417 0.0000 0.3274 [4 per cell]
O 0.1537 0.0000 0.8135 [4 per cell]

(5)
# Li4Mn3O7
Theoretical powder XRD pattern, Cu Kα (weighted mean of Kα1 and Kα2). Input: the GGA+U geometry in Alexandria.

Principal peaks in the range 2θ from 10° to 90°, in order of falling intensity:
4.867 Å, 2θ 18.2, I = 100; 2.219 Å, 2θ 40.7, I = 35; 2.044 Å, 2θ 44.3, I = 27; 2.049 Å, 2θ 44.2, I = 27; 2.637 Å, 2θ 34.0, I = 18; 1.511 Å, 2θ 61.3, I = 16; 2.468 Å, 2θ 36.4, I = 12; 2.487 Å, 2θ 36.1, I = 12; 2.432 Å, 2θ 37.0, I = 10; 1.454 Å, 2θ 64.0, I = 10

Structural model:
Unit cell a=3.0030 b=9.7924 c=9.9727 alpha=115.83 beta=94.61 gamma=95.63
Space group P-1 (No. 2)
Inequivalent atoms, fractional coordinates:
Li 0.0000 0.0000 0.0000 [1 per cell]
Li 0.0263 0.1381 0.7965 [2 per cell]
Li 0.2046 0.4248 0.3557 [2 per cell]
Li 0.3568 0.7290 0.9426 [2 per cell]
Li 0.5000 0.0000 0.5000 [1 per cell]
Mn 0.1672 0.2887 0.5677 [2 per cell]
Mn 0.2782 0.5712 0.1447 [2 per cell]
Mn 0.4106 0.8641 0.7261 [2 per cell]
O 0.0898 0.2025 0.1916 [2 per cell]
O 0.0911 0.0863 0.3836 [2 per cell]
O 0.1513 0.3668 0.9687 [2 per cell]
O 0.2800 0.6565 0.5436 [2 per cell]
O 0.2890 0.4920 0.7458 [2 per cell]
O 0.3960 0.7749 0.3245 [2 per cell]
O 0.4835 0.9411 0.1211 [2 per cell]

(6)
# Li4Mn3O7
Theoretical powder XRD pattern, Cu Kα (weighted mean of Kα1 and Kα2). Input: the GGA+U geometry in Alexandria.

Principal peaks in the range 2θ from 10° to 90°, in order of falling intensity:
4.858 Å, 2θ 18.3, I = 100; 2.236 Å, 2θ 40.3, I = 36; 2.045 Å, 2θ 44.3, I = 27; 2.039 Å, 2θ 44.4, I = 27; 2.474 Å, 2θ 36.3, I = 24; 2.660 Å, 2θ 33.7, I = 17; 1.511 Å, 2θ 61.3, I = 17; 1.506 Å, 2θ 61.6, I = 8; 1.502 Å, 2θ 61.8, I = 8; 1.435 Å, 2θ 65.0, I = 7

Structural model:
Unit cell a=5.0959 b=5.3499 c=10.1053 alpha=102.37 beta=101.22 gamma=95.83
Space group P-1 (No. 2)
Inequivalent atoms, fractional coordinates:
Li 0.0000 0.0000 0.0000 [1 per cell]
Li 0.0000 0.0000 0.5000 [1 per cell]
Li 0.1372 0.5722 0.1430 [2 per cell]
Li 0.2971 0.1663 0.2859 [2 per cell]
Li 0.4057 0.7079 0.4327 [2 per cell]
Mn 0.1429 0.5696 0.6416 [2 per cell]
Mn 0.2838 0.1403 0.7810 [2 per cell]
Mn 0.4278 0.7141 0.9293 [2 per cell]
O 0.0290 0.7480 0.3216 [2 per cell]
O 0.0848 0.7690 0.8168 [2 per cell]
O 0.1970 0.3794 0.4662 [2 per cell]
O 0.2311 0.3394 0.9620 [2 per cell]
O 0.3323 0.8961 0.6181 [2 per cell]
O 0.3702 0.9124 0.1054 [2 per cell]
O 0.4833 0.5134 0.7503 [2 per cell]

(7)
# Li4Mn3O7
Theoretical powder XRD pattern, Cu Kα (weighted mean of Kα1 and Kα2). Input: the GGA+U geometry in Alexandria.

Principal peaks in the range 2θ from 10° to 90°, in order of falling intensity:
4.851 Å, 2θ 18.3, I = 100; 2.241 Å, 2θ 40.2, I = 36; 2.042 Å, 2θ 44.4, I = 28; 2.038 Å, 2θ 44.5, I = 27; 2.474 Å, 2θ 36.3, I = 24; 2.666 Å, 2θ 33.6, I = 18; 1.513 Å, 2θ 61.3, I = 17; 1.502 Å, 2θ 61.8, I = 8; 1.505 Å, 2θ 61.6, I = 8; 1.451 Å, 2θ 64.2, I = 7

Structural model:
Unit cell a=5.3608 b=6.5112 c=7.8140 alpha=87.44 beta=73.82 gamma=85.55
Space group P-1 (No. 2)
Inequivalent atoms, fractional coordinates:
Li 0.0000 0.0000 0.0000 [1 per cell]
Li 0.0949 0.8494 0.3579 [2 per cell]
Li 0.2347 0.5651 0.0788 [2 per cell]
Li 0.3431 0.2714 0.7946 [2 per cell]
Li 0.5000 0.0000 0.5000 [1 per cell]
Mn 0.1401 0.7154 0.7204 [2 per cell]
Mn 0.2863 0.4254 0.4315 [2 per cell]
Mn 0.4297 0.1414 0.1424 [2 per cell]
O 0.0529 0.4332 0.6740 [2 per cell]
O 0.1354 0.2692 0.0592 [2 per cell]
O 0.1961 0.1492 0.3852 [2 per cell]
O 0.2819 0.9686 0.7620 [2 per cell]
O 0.3484 0.8669 0.0998 [2 per cell]
O 0.3721 0.7009 0.4730 [2 per cell]
O 0.4817 0.5842 0.8152 [2 per cell]

(8)
# Li2Mn7O12
Theoretical powder XRD pattern, Cu Kα (weighted mean of Kα1 and Kα2). Input: the GGA+U geometry in Alexandria.

Principal peaks in the range 2θ from 10° to 90°, in order of falling intensity:
2.147 Å, 2θ 42.1, I = 100; 4.918 Å, 2θ 18.0, I = 66; 2.099 Å, 2θ 43.1, I = 48; 3.807 Å, 2θ 23.4, I = 41; 4.515 Å, 2θ 19.7, I = 33; 1.508 Å, 2θ 61.5, I = 29; 4.361 Å, 2θ 20.4, I = 26; 1.494 Å, 2θ 62.1, I = 23; 2.446 Å, 2θ 36.7, I = 23; 2.901 Å, 2θ 30.8, I = 15

Structural model:
Unit cell a=5.2306 b=9.0307 c=10.0520 alpha=90.00 beta=101.92 gamma=90.00
Space group P2_1 (No. 4)
Inequivalent atoms, fractional coordinates:
Li 0.0031 0.0000 0.2269 [2 per cell]
Li 0.2459 0.6652 0.0030 [2 per cell]
Mn 0.0068 0.8456 0.7553 [2 per cell]
Mn 0.2444 0.1718 0.4890 [2 per cell]
Mn 0.2567 0.8364 0.5042 [2 per cell]
Mn 0.2576 0.3299 0.0126 [2 per cell]
Mn 0.2592 0.0090 0.9953 [2 per cell]
Mn 0.2604 0.5048 0.5172 [2 per cell]
Mn 0.4975 0.3286 0.7644 [2 per cell]
O 0.0958 0.4809 0.1127 [2 per cell]
O 0.1095 0.6971 0.6218 [2 per cell]
O 0.1097 0.0056 0.5829 [2 per cell]
O 0.1318 0.1658 0.1053 [2 per cell]
O 0.1607 0.3506 0.6319 [2 per cell]
O 0.1670 0.8557 0.1151 [2 per cell]
O 0.3326 0.3328 0.3808 [2 per cell]
O 0.3417 0.8576 0.8768 [2 per cell]
O 0.3727 0.1829 0.8987 [2 per cell]
O 0.3779 0.4837 0.9014 [2 per cell]
O 0.3777 0.9714 0.3784 [2 per cell]
O 0.3883 0.6684 0.4159 [2 per cell]

(9)
# Li3Mn3O8
Theoretical powder XRD pattern, Cu Kα (weighted mean of Kα1 and Kα2). Input: the GGA+U geometry in Alexandria.

Principal peaks in the range 2θ from 10° to 90°, in order of falling intensity:
5.000 Å, 2θ 17.7, I = 100; 4.487 Å, 2θ 19.8, I = 32; 2.005 Å, 2θ 45.2, I = 32; 2.435 Å, 2θ 36.9, I = 26; 2.243 Å, 2θ 40.2, I = 24; 1.564 Å, 2θ 59.1, I = 20; 1.449 Å, 2θ 64.3, I = 15; 2.508 Å, 2θ 35.8, I = 14; 1.772 Å, 2θ 51.6, I = 12; 1.392 Å, 2θ 67.3, I = 11

Structural model:
Unit cell a=5.7979 b=5.7979 c=9.9969 alpha=90.00 beta=90.00 gamma=120.00
Space group P6_3mc (No. 186)
Inequivalent atoms, fractional coordinates:
Li 0.0000 0.0000 0.0000 [2 per cell]
Li 0.3333 0.6667 0.0213 [2 per cell]
Li 0.3333 0.6667 0.4019 [2 per cell]
Mn 0.1673 0.3347 0.7171 [6 per cell]
O 0.0000 0.0000 0.3165 [2 per cell]
O 0.0305 0.5152 0.8235 [6 per cell]
O 0.1549 0.3097 0.1149 [6 per cell]
O 0.3333 0.6667 0.6131 [2 per cell]